# MgAlOs4
Theoretical powder XRD pattern, a wavelength of 1.5418 Å. Input: the GGA-PBE geometry in Alexandria.
Lines closer than 0.1° are merged.

Peak list (7 most intense, 5 to 70 degrees two-theta, in order of rising 2θ)
21.1 deg, I = 100.0; 34.7 deg, I = 1.1; 41.0 deg, I = 82.7; 42.9 deg, I = 80.4; 49.9 deg, I = 33.8; 54.8 deg, I = 24.2; 66.5 deg, I = 26.7

Cell and atoms:
Lattice parameters (Å, degrees): 5.167 5.167 5.167 60.00 60.00 60.00
Element x y z (fractional)
Mg 0.000 0.000 0.000
Al 0.750 0.750 0.750
Os 0.375 0.375 0.375
Os 0.375 0.375 0.875
Os 0.375 0.875 0.375
Os 0.875 0.375 0.375